No. 1
Sm3Au2: simulated XRD peak list (Cu Ka), based on a PBE-relaxed structure.
Intensities are scaled so that the largest is 100.

Structure:
```
Sm3Au2
1.0
4.5306 2.6158 5.7869
-4.5306 2.6158 5.7869
0.0000 -5.2315 5.7869
Sm Au
9 6
direct
0.0000 0.0000 0.0000 Sm
0.1699 0.6589 0.4038 Sm
0.2020 0.2020 0.2020 Sm
0.3411 0.5962 0.8301 Sm
0.4038 0.1699 0.6589 Sm
0.5962 0.8301 0.3411 Sm
0.6589 0.4038 0.1699 Sm
0.7980 0.7980 0.7980 Sm
0.8301 0.3411 0.5962 Sm
0.0397 0.4116 0.8330 Au
0.1670 0.9603 0.5884 Au
0.4116 0.8330 0.0397 Au
0.5884 0.1670 0.9603 Au
0.8330 0.0397 0.4116 Au
0.9603 0.5884 0.1670 Au
```

Top 12 peaks for 5 to 70 degrees two-theta, by intensity:
2θ (°), I (rel.)
31.89, 100
36.70, 75
36.86, 66
34.28, 63
30.90, 45
30.58, 43
42.86, 25
63.67, 21
52.23, 20
12.38, 18
41.83, 17
28.10, 17



No. 2
Ga2SiMo2: simulated XRD peak list (Cu Ka), based on a PBE-relaxed structure.
Intensities are scaled so that the largest is 100.

Structure:
```
Ga2SiMo2
1.0
-1.7346 1.7346 6.4523
1.7346 -1.7346 6.4523
1.7346 1.7346 -6.4523
Ga Si Mo
2 1 2
direct
0.2500 0.7500 0.5000 Ga
0.7500 0.2500 0.5000 Ga
0.0000 0.0000 0.0000 Si
0.4064 0.4064 0.0000 Mo
0.5936 0.5936 0.0000 Mo
```

Top 12 peaks for 5 to 70 degrees two-theta, by intensity:
2θ (°), I (rel.)
39.29, 100
26.61, 82
46.51, 64
43.71, 56
52.78, 45
42.01, 29
69.64, 25
60.06, 16
33.18, 11
56.53, 10
13.72, 8
36.63, 6



No. 3
Te3Pd13: simulated XRD peak list (Cu Ka), based on a PBE-relaxed structure.
Intensities are scaled so that the largest is 100.

Structure:
```
Te3Pd13
1.0
0.0000 6.4051 6.4051
6.4051 0.0000 6.4051
6.4051 6.4051 0.0000
Te Pd
6 26
direct
0.0000 0.0000 0.0000 Te
0.0000 0.0000 0.5000 Te
0.0000 0.5000 0.0000 Te
0.3750 0.3750 0.3750 Te
0.5000 0.0000 0.0000 Te
0.6250 0.6250 0.6250 Te
0.0000 0.5000 0.5000 Pd
0.1130 0.1130 0.6370 Pd
0.1130 0.6370 0.1130 Pd
0.1130 0.6370 0.6370 Pd
0.1250 0.1250 0.1250 Pd
0.2597 0.2597 0.2597 Pd
0.2597 0.2597 0.7210 Pd
0.2597 0.7210 0.2597 Pd
0.2790 0.7403 0.7403 Pd
0.3630 0.3630 0.8870 Pd
0.3630 0.8870 0.3630 Pd
0.3630 0.8870 0.8870 Pd
0.5000 0.0000 0.5000 Pd
0.5000 0.5000 0.0000 Pd
0.5000 0.5000 0.5000 Pd
0.6370 0.1130 0.1130 Pd
0.6370 0.1130 0.6370 Pd
0.6370 0.6370 0.1130 Pd
0.7210 0.2597 0.2597 Pd
0.7403 0.2790 0.7403 Pd
0.7403 0.7403 0.2790 Pd
0.7403 0.7403 0.7403 Pd
0.8750 0.8750 0.8750 Pd
0.8870 0.3630 0.3630 Pd
0.8870 0.3630 0.8870 Pd
0.8870 0.8870 0.3630 Pd
```

Top 6 peaks for 5 to 70 degrees two-theta, by intensity:
2θ (°), I (rel.)
39.81, 100
57.56, 16
36.44, 3
55.07, 3
23.03, 1
62.82, 1



Which formula does entry 2 have?
Ga2SiMo2